The following is a computed powder XRD pattern of PmFeIO6. It was derived from a DFT-relaxed cell (PBE+U, Alexandria), using Cu Ka.
Peak positions follow from Bragg's law for the DFT cell and can differ from measured ones.

Main lines, sorted by position (2θ = 10–80°):
19.2 deg, I = 11, hkl 1 0 0
26.3 deg, I = 100, hkl 1 0 1
33.6 deg, I = 34, hkl 1 1 0
43.2 deg, I = 25, hkl 2 0 1
50.1 deg, I = 37, hkl 2 -1 2
55.8 deg, I = 24, hkl 3 -1 1
60.1 deg, I = 12, hkl 3 0 0
76.9 deg, I = 10, hkl 3 1 1

Cell and atoms:
```
data_PmFeIO6
_cell_length_a 5.3312
_cell_length_b 5.3312
_cell_length_c 4.9877
_cell_angle_alpha 90.00
_cell_angle_beta 90.00
_cell_angle_gamma 120.00
_space_group_name_H-M_alt 'P 3 1 2'
_space_group_IT_number 149
_space_group_name_Hall 'P 3 2'
loop_
_atom_site_label
_atom_site_type_symbol
_atom_site_fract_x
_atom_site_fract_y
_atom_site_fract_z
Pm1 Pm 0.0000 0.0000 0.0000
Fe1 Fe 0.3333 0.6667 0.5000
I1 I 0.6667 0.3333 0.5000
O1 O 0.3782 0.0323 0.7169
```